LiMnPO4: computed X-ray powder pattern (Cu Kα, 1.54184 Å), based on a crystal structure in Alexandria, relaxed with GGA+U.

Principal peaks in the range 15° ≤ 2θ ≤ 90°, low angle first:
2theta  Rel. int.
18.80  100
19.16  12
22.03  32
23.35  13
29.72  19
31.71  17
32.72  15
35.60  13
38.48  16
43.99  16

Cell and atoms:
```
data_LiMnPO4
_symmetry_space_group_name_H-M 'P 1'
_symmetry_Int_Tables_number 1
_cell_length_a 5.161
_cell_length_b 5.161
_cell_length_c 16.170
_cell_angle_alpha 92.73
_cell_angle_beta 92.73
_cell_angle_gamma 71.25
loop_
_symmetry_equiv_pos_as_xyz
'x,y,z'
loop_
_atom_site_label
_atom_site_type_symbol
_atom_site_fract_x
_atom_site_fract_y
_atom_site_fract_z
Li1 Li 0.249 0.250 0.750
Li2 Li 0.250 0.249 0.250
Li3 Li 0.750 0.751 0.750
Li4 Li 0.751 0.750 0.250
Mn1 Mn 0.103 0.603 0.915
Mn2 Mn 0.397 0.897 0.585
Mn3 Mn 0.603 0.103 0.415
Mn4 Mn 0.897 0.397 0.085
P1 P 0.235 0.734 0.131
P2 P 0.266 0.765 0.369
P3 P 0.734 0.235 0.631
P4 P 0.765 0.266 0.869
O1 O 0.048 0.126 0.646
O2 O 0.092 0.591 0.189
O3 O 0.126 0.048 0.146
O4 O 0.153 0.652 0.042
O5 O 0.348 0.847 0.458
O6 O 0.373 0.451 0.354
O7 O 0.409 0.908 0.311
O8 O 0.451 0.373 0.854
O9 O 0.549 0.627 0.146
O10 O 0.591 0.092 0.689
O11 O 0.627 0.549 0.646
O12 O 0.652 0.153 0.542
O13 O 0.847 0.348 0.958
O14 O 0.874 0.952 0.854
O15 O 0.908 0.409 0.811
O16 O 0.952 0.874 0.354
```